(1)
For PuSi2Ni4, a crystal structure in Alexandria, relaxed with GGA-PBE gives the theoretical X-ray diffraction stick pattern in this record (Cu Kα).

Top 12 peaks for 2θ = 5–70°, most intense first:
2θ (°)	I_rel
37.13	100
39.72	48
27.17	36
24.82	23
65.17	22
17.48	18
58.65	18
49.39	16
35.38	15
43.28	15
47.01	14
52.22	8

abc: 7.1752 7.1752 3.6903
angles: 90.00 90.00 90.00
Positions (direct):
Pu: 0.0000 0.0000 0.0000
Pu: 0.5000 0.5000 0.5000
Si: 0.2206 0.2206 0.5000
Si: 0.2794 0.7206 0.0000
Si: 0.7206 0.2794 0.0000
Si: 0.7794 0.7794 0.5000
Ni: 0.0877 0.6577 0.5000
Ni: 0.1577 0.4123 0.0000
Ni: 0.3423 0.9123 0.5000
Ni: 0.4123 0.1577 0.0000
Ni: 0.5877 0.8423 0.0000
Ni: 0.6577 0.0877 0.5000
Ni: 0.8423 0.5877 0.0000
Ni: 0.9123 0.3423 0.5000



(2)
For Pu3Si2Ni7, a crystal structure in Alexandria, relaxed with GGA-PBE gives the theoretical X-ray diffraction stick pattern in this record (Cu Kα).

Top 12 peaks for 2θ = 5–70°, most intense first:
2θ (°)	I_rel
42.34	100
33.83	83
34.98	67
40.80	55
37.13	50
20.35	49
62.00	30
67.79	25
64.15	21
67.50	14
11.49	14
62.73	13

abc: 8.2503 8.2503 8.2503
angles: 36.23 36.23 36.23
Positions (direct):
Pu: 0.0000 0.0000 0.0000
Pu: 0.1430 0.1430 0.1430
Pu: 0.8570 0.8570 0.8570
Si: 0.3319 0.3319 0.3319
Si: 0.6681 0.6681 0.6681
Ni: 0.0809 0.5764 0.5764
Ni: 0.4236 0.4236 0.9191
Ni: 0.4236 0.9191 0.4236
Ni: 0.5000 0.5000 0.5000
Ni: 0.5764 0.0809 0.5764
Ni: 0.5764 0.5764 0.0809
Ni: 0.9191 0.4236 0.4236



(3)
For PuSi4Ni2, a crystal structure in Alexandria, relaxed with GGA-PBE gives the theoretical X-ray diffraction stick pattern in this record (Cu Kα).

Top 12 peaks for 2θ = 5–70°, most intense first:
2θ (°)	I_rel
38.38	100
24.78	35
15.30	30
21.70	27
41.23	24
57.59	21
31.26	19
45.37	19
27.10	18
36.38	17
62.96	14
39.98	14

abc: 16.3854 3.9978 6.1909
angles: 90.00 90.00 90.00
Positions (direct):
Pu: 0.1406 0.2500 0.0049
Pu: 0.3594 0.7500 0.5049
Pu: 0.6406 0.2500 0.4951
Pu: 0.8594 0.7500 0.9951
Si: 0.0284 0.7500 0.1345
Si: 0.0667 0.2500 0.5284
Si: 0.1835 0.7500 0.6965
Si: 0.1997 0.7500 0.2877
Si: 0.3003 0.2500 0.7877
Si: 0.3165 0.2500 0.1965
Si: 0.4333 0.7500 0.0284
Si: 0.4716 0.2500 0.6345
Si: 0.5284 0.7500 0.3655
Si: 0.5667 0.2500 0.9716
Si: 0.6835 0.7500 0.8035
Si: 0.6997 0.7500 0.2123
Si: 0.8003 0.2500 0.7123
Si: 0.8165 0.2500 0.3035
Si: 0.9333 0.7500 0.4716
Si: 0.9716 0.2500 0.8655
Ni: 0.0317 0.7500 0.7399
Ni: 0.2077 0.2500 0.4902
Ni: 0.2923 0.7500 0.9902
Ni: 0.4683 0.2500 0.2399
Ni: 0.5317 0.7500 0.7601
Ni: 0.7077 0.2500 0.0098
Ni: 0.7923 0.7500 0.5098
Ni: 0.9683 0.2500 0.2601



(4)
For Pu2USi2Ni2, a crystal structure in Alexandria, relaxed with GGA-PBE gives the theoretical X-ray diffraction stick pattern in this record (Cu Kα).

Top 12 peaks for 2θ = 5–70°, most intense first:
2θ (°)	I_rel
35.77	100
47.03	71
26.85	66
38.18	51
20.05	48
51.61	33
52.47	32
9.99	27
31.59	26
60.46	23
29.90	16
55.68	14

abc: 9.1319 9.1319 9.1319
angles: 24.43 24.43 24.43
Positions (direct):
Pu: 0.1473 0.1473 0.1473
Pu: 0.8527 0.8527 0.8527
U: 0.0000 0.0000 0.0000
Si: 0.2559 0.2559 0.2559
Si: 0.7441 0.7441 0.7441
Ni: 0.3951 0.3951 0.3951
Ni: 0.6049 0.6049 0.6049



(5)
For Pu2ZnSi3Ni4, a crystal structure in Alexandria, relaxed with GGA-PBE gives the theoretical X-ray diffraction stick pattern in this record (Cu Kα).

Top 12 peaks for 2θ = 5–70°, most intense first:
2θ (°)	I_rel
36.88	100
35.90	70
24.11	61
45.38	42
59.17	34
52.80	28
31.65	26
52.03	17
18.44	16
67.10	14
66.11	14
60.20	13

abc: 3.9974 3.9974 9.6222
angles: 90.00 90.00 90.00
Positions (direct):
Pu: 0.0000 0.5000 0.2484
Pu: 0.5000 0.0000 0.7516
Zn: 0.0000 0.0000 0.5000
Si: 0.0000 0.5000 0.8741
Si: 0.5000 0.0000 0.1259
Si: 0.5000 0.5000 0.5000
Ni: 0.0000 0.0000 0.0000
Ni: 0.0000 0.5000 0.6359
Ni: 0.5000 0.0000 0.3641
Ni: 0.5000 0.5000 0.0000



(6)
For SmPu3Ni8, a crystal structure in Alexandria, relaxed with GGA-PBE gives the theoretical X-ray diffraction stick pattern in this record (Cu Kα).

Top 12 peaks for 2θ = 5–70°, most intense first:
2θ (°)	I_rel
38.41	100
41.79	95
35.48	73
42.68	47
65.66	43
68.03	22
20.27	22
22.94	21
29.61	18
41.20	16
59.40	14
63.71	14

abc: 5.0597 5.0597 8.3216
angles: 90.00 90.00 120.00
Positions (direct):
Sm: 0.0000 0.0000 0.0000
Pu: 0.0000 0.0000 0.3813
Pu: 0.6667 0.3333 0.4885
Pu: 0.6667 0.3333 0.8554
Ni: 0.0009 0.5004 0.1828
Ni: 0.1685 0.3370 0.6811
Ni: 0.1685 0.8315 0.6811
Ni: 0.3333 0.6667 0.4301
Ni: 0.3333 0.6667 0.9313
Ni: 0.4996 0.5004 0.1828
Ni: 0.4996 0.9991 0.1828
Ni: 0.6630 0.8315 0.6811



(7)
For Sm2PuNi9, a crystal structure in Alexandria, relaxed with GGA-PBE gives the theoretical X-ray diffraction stick pattern in this record (Cu Kα).

Top 12 peaks for 2θ = 5–70°, most intense first:
2θ (°)	I_rel
42.41	100
32.84	52
35.98	50
35.84	42
41.95	37
64.62	24
69.09	20
20.86	17
62.70	15
68.47	12
49.46	12
68.87	12

abc: 8.6896 8.6896 8.6896
angles: 33.39 33.39 33.39
Positions (direct):
Sm: 0.1382 0.1382 0.1382
Sm: 0.8618 0.8618 0.8618
Pu: 0.0000 0.0000 0.0000
Ni: 0.0813 0.5807 0.5807
Ni: 0.3328 0.3328 0.3328
Ni: 0.4193 0.4193 0.9187
Ni: 0.4193 0.9187 0.4193
Ni: 0.5000 0.5000 0.5000
Ni: 0.5807 0.0813 0.5807
Ni: 0.5807 0.5807 0.0813
Ni: 0.6672 0.6672 0.6672
Ni: 0.9187 0.4193 0.4193



(8)
For SmPuNi17, a crystal structure in Alexandria, relaxed with GGA-PBE gives the theoretical X-ray diffraction stick pattern in this record (Cu Kα).

Top 12 peaks for 2θ = 5–70°, most intense first:
2θ (°)	I_rel
43.94	100
43.58	61
30.93	45
37.50	44
45.03	30
38.94	28
64.46	18
44.85	17
63.61	17
45.21	16
49.37	14
32.14	11

abc: 6.2626 6.2626 6.2626
angles: 83.10 83.10 83.10
Positions (direct):
Sm: 0.0000 0.0000 0.0000
Pu: 0.3212 0.3212 0.3212
Ni: 0.0070 0.0070 0.5059
Ni: 0.0070 0.5059 0.0070
Ni: 0.1603 0.6596 0.6596
Ni: 0.3148 0.3148 0.8123
Ni: 0.3148 0.8123 0.3148
Ni: 0.3669 0.6592 0.9539
Ni: 0.3669 0.9539 0.6592
Ni: 0.5059 0.0070 0.0070
Ni: 0.5602 0.5602 0.5602
Ni: 0.6592 0.3669 0.9539
Ni: 0.6592 0.9539 0.3669
Ni: 0.6596 0.1603 0.6596
Ni: 0.6596 0.6596 0.1603
Ni: 0.7577 0.7577 0.7577
Ni: 0.8123 0.3148 0.3148
Ni: 0.9539 0.3669 0.6592
Ni: 0.9539 0.6592 0.3669



(9)
For PuNi9Sn2, a crystal structure in Alexandria, relaxed with GGA-PBE gives the theoretical X-ray diffraction stick pattern in this record (Cu Kα).

Top 12 peaks for 2θ = 5–70°, most intense first:
2θ (°)	I_rel
39.29	100
44.50	49
34.55	31
43.04	26
35.98	25
43.86	24
67.87	19
45.56	18
36.73	17
49.67	16
69.95	15
28.38	14

abc: 8.2086 8.2086 4.8931
angles: 90.00 90.00 90.00
Positions (direct):
Pu: 0.0000 0.0000 0.0000
Pu: 0.5000 0.5000 0.0000
Ni: 0.0000 0.5000 0.5000
Ni: 0.0655 0.2039 0.5000
Ni: 0.1738 0.6738 0.2460
Ni: 0.1738 0.6738 0.7540
Ni: 0.2039 0.9345 0.5000
Ni: 0.2961 0.4345 0.5000
Ni: 0.3262 0.1738 0.2460
Ni: 0.3262 0.1738 0.7540
Ni: 0.4345 0.7039 0.5000
Ni: 0.5000 0.0000 0.5000
Ni: 0.5655 0.2961 0.5000
Ni: 0.6738 0.8262 0.2460
Ni: 0.6738 0.8262 0.7540
Ni: 0.7039 0.5655 0.5000
Ni: 0.7961 0.0655 0.5000
Ni: 0.8262 0.3262 0.2460
Ni: 0.8262 0.3262 0.7540
Ni: 0.9345 0.7961 0.5000
Sn: 0.1278 0.3722 0.0000
Sn: 0.3722 0.8722 0.0000
Sn: 0.6278 0.1278 0.0000
Sn: 0.8722 0.6278 0.0000



(10)
For PuNi5Sn, a crystal structure in Alexandria, relaxed with GGA-PBE gives the theoretical X-ray diffraction stick pattern in this record (Cu Kα).

Top 12 peaks for 2θ = 5–70°, most intense first:
2θ (°)	I_rel
39.23	100
36.88	31
45.94	25
36.56	23
31.94	21
33.88	20
67.60	20
22.91	18
67.91	18
46.95	16
43.13	16
44.07	14

abc: 8.0468 4.9157 10.2302
angles: 90.00 90.00 90.00
Positions (direct):
Pu: 0.2467 0.2500 0.0558
Pu: 0.2533 0.7500 0.5558
Pu: 0.7467 0.2500 0.4442
Pu: 0.7533 0.7500 0.9442
Ni: 0.0604 0.2500 0.6019
Ni: 0.0687 0.5009 0.8116
Ni: 0.0687 0.9991 0.8116
Ni: 0.0907 0.7500 0.0192
Ni: 0.1835 0.7500 0.2477
Ni: 0.3165 0.2500 0.7477
Ni: 0.4093 0.2500 0.5192
Ni: 0.4313 0.0009 0.3116
Ni: 0.4313 0.4991 0.3116
Ni: 0.4396 0.7500 0.1019
Ni: 0.5604 0.2500 0.8981
Ni: 0.5687 0.5009 0.6884
Ni: 0.5687 0.9991 0.6884
Ni: 0.5907 0.7500 0.4808
Ni: 0.6835 0.7500 0.2523
Ni: 0.8165 0.2500 0.7523
Ni: 0.9093 0.2500 0.9808
Ni: 0.9313 0.0009 0.1884
Ni: 0.9313 0.4991 0.1884
Ni: 0.9396 0.7500 0.3981
Sn: 0.1378 0.2500 0.3577
Sn: 0.3622 0.7500 0.8577
Sn: 0.6378 0.2500 0.1423
Sn: 0.8622 0.7500 0.6423



(11)
For TbPuNi10, a crystal structure in Alexandria, relaxed with GGA-PBE gives the theoretical X-ray diffraction stick pattern in this record (Cu Kα).

Top 12 peaks for 2θ = 5–70°, most intense first:
2θ (°)	I_rel
43.53	100
30.94	64
42.73	37
36.78	36
45.87	25
64.48	21
60.18	17
62.62	12
22.47	10
20.99	8
62.70	6
10.44	5

abc: 3.9568 4.8818 8.4726
angles: 90.00 90.00 90.00
Positions (direct):
Tb: 0.0000 0.0000 0.0000
Pu: 0.0000 0.5000 0.5000
Ni: 0.0000 0.0000 0.3347
Ni: 0.0000 0.0000 0.6653
Ni: 0.0000 0.5000 0.1694
Ni: 0.0000 0.5000 0.8306
Ni: 0.5000 0.0000 0.5000
Ni: 0.5000 0.2508 0.2504
Ni: 0.5000 0.2508 0.7496
Ni: 0.5000 0.5000 0.0000
Ni: 0.5000 0.7492 0.2504
Ni: 0.5000 0.7492 0.7496



(12)
For Rb2Ni3S4, a crystal structure in Alexandria, relaxed with GGA-PBE gives the theoretical X-ray diffraction stick pattern in this record (Cu Kα).

Top 12 peaks for 2θ = 5–70°, most intense first:
2θ (°)	I_rel
25.86	100
12.62	84
36.39	70
53.17	48
35.21	44
21.82	41
39.84	29
31.43	25
53.66	23
64.06	22
30.17	22
35.89	22

abc: 8.6146 7.6118 5.8157
angles: 78.57 60.00 41.43
Positions (direct):
Rb: 0.1585 0.1585 0.8415
Rb: 0.8415 0.8415 0.1585
Ni: 0.0000 0.0000 0.5000
Ni: 0.5000 0.5000 0.0000
Ni: 0.5000 0.5000 0.5000
S: 0.2300 0.5658 0.4342
S: 0.4342 0.7700 0.2300
S: 0.5658 0.2300 0.7700
S: 0.7700 0.4342 0.5658